Structure and calculated powder XRD pattern of Na4Hg7Pb (a structure optimized by DFT (PBE); Cu Kα X-rays).
Kinematic intensities with the Lorentz-polarization factor, no thermal factor.

Structural model:
Cell lengths 6.5144, 7.0711, 7.6131 Å; angles 75.69, 80.65, 68.65 degrees
Space group P-1 (No. 2)
Unique sites:
Na1 0.1019 0.1952 0.3134 [2 per cell]
Na2 0.3287 0.6475 0.3210 [2 per cell]
Hg1 0.0000 0.0000 0.0000 [1 per cell]
Hg2 0.1773 0.3245 0.6594 [2 per cell]
Hg3 0.2535 0.5046 0.9822 [2 per cell]
Hg4 0.3815 0.8427 0.6496 [2 per cell]
Pb1 0.5000 0.0000 0.0000 [1 per cell]

Top 8 peaks for 2θ from 10° to 90°, low angle first:
(1 0 1), 2θ 18.2, I 39
(0 2 -1), 2θ 32.5, I 100
(2 1 -1), 2θ 32.7, I 86
(0 2 2), 2θ 33.0, I 86
(2 1 2), 2θ 33.6, I 75
(0 0 3), 2θ 36.7, I 62
(2 -1 0), 2θ 36.9, I 62
(2 3 1), 2θ 41.1, I 48